Diffraction record for Mg2BeCu5. The PXRD pattern is simulated, not measured: it uses a DFT-relaxed cell (PBE, OQMD) and Cu Kα, 1.54184 Å.

Cell and atoms:
a b c (Å): 4.133 4.133 5.880
angles (deg): 90.00 90.00 90.00
Atoms (fractional coordinates):
Mg (0.000, 0.000, 0.000)
Mg (0.500, 0.500, 0.500)
Be (0.000, 0.000, 0.500)
Cu (0.000, 0.500, 0.262)
Cu (0.000, 0.500, 0.738)
Cu (0.500, 0.000, 0.262)
Cu (0.500, 0.000, 0.738)
Cu (0.500, 0.500, 0.000)

Peak list (10 most intense, 2θ from 10° to 80°, sorted by position)
d [Å], Position (°2θ), I_rel, h k l
4.133, 21.50, 8, 1 0 0
2.940, 30.40, 9, 0 0 2
2.922, 30.59, 19, 1 1 0
2.617, 34.27, 9, 1 1 1
2.396, 37.54, 4, 1 0 2
2.073, 43.67, 100, 1 1 2
2.066, 43.81, 50, 2 0 0
1.691, 54.26, 7, 2 0 2
1.470, 63.26, 7, 0 0 4
1.461, 63.69, 15, 2 2 0